(1)
Calculated powder diffractogram of Ac2DyAg2O6 for Cu Kα (weighted mean of Kα1 and Kα2), from DFT lattice parameters and positions (PBE).
Lines closer than 0.1° are merged.

Structural model:
```
data_Ac2DyAg2O6
_cell_length_a 6.3895
_cell_length_b 6.3895
_cell_length_c 16.9529
_cell_angle_alpha 90.00
_cell_angle_beta 90.00
_cell_angle_gamma 120.00
_symmetry_space_group_name_H-M 'R -3 m'
_symmetry_Int_Tables_number 166
_symmetry_space_group_name_Hall '-R 3 2"'
loop_
_atom_site_label
_atom_site_type_symbol
_atom_site_fract_x
_atom_site_fract_y
_atom_site_fract_z
Ac1 Ac 0.0000 0.0000 0.2025
Dy1 Dy 0.0000 0.0000 0.0000
Ag1 Ag 0.0000 0.0000 0.4141
O1 O 0.0495 0.5247 0.7629
```

Top 12 peaks for 10 to 90 degrees two-theta, in order of rising 2θ:
- 27.9°, I 100
- 30.9°, I 72
- 42.2°, I 36
- 49.4°, I 21
- 51.3°, I 40
- 56.8°, I 17
- 57.7°, I 16
- 66.9°, I 17
- 71.6°, I 14
- 79.4°, I 11
- 80.8°, I 9
- 85.3°, I 8

(2)
Calculated powder diffractogram of AcEr2Ag3 for Cu Kα (weighted mean of Kα1 and Kα2), from DFT lattice parameters and positions (PBE).
Lines closer than 0.1° are merged.

Structural model:
```
data_AcEr2Ag3
_cell_length_a 3.701
_cell_length_b 3.701
_cell_length_c 11.263
_cell_angle_alpha 90.00
_cell_angle_beta 90.00
_cell_angle_gamma 90.00
_symmetry_space_group_name_H-M 'P 4/m m m'
_symmetry_Int_Tables_number 123
_symmetry_space_group_name_Hall '-P 4 2'
loop_
_atom_site_label
_atom_site_type_symbol
_atom_site_fract_x
_atom_site_fract_y
_atom_site_fract_z
Ac1 Ac 0.000 0.000 0.000
Er1 Er 0.000 0.000 0.344
Ag1 Ag 0.500 0.500 0.199
Ag2 Ag 0.500 0.500 0.500
```

Top 12 peaks for 10 to 90 degrees two-theta, in order of rising 2θ:
- 24.0°, I 7
- 28.9°, I 6
- 34.0°, I 100
- 34.3°, I 55
- 48.5°, I 7
- 49.2°, I 19
- 60.7°, I 14
- 61.2°, I 36
- 71.6°, I 8
- 72.2°, I 6
- 82.3°, I 8
- 82.4°, I 9

(3)
Calculated powder diffractogram of AcErAgHg for Cu Kα (weighted mean of Kα1 and Kα2), from DFT lattice parameters and positions (PBE).
Lines closer than 0.1° are merged.

Structural model:
```
data_AcErAgHg
_cell_length_a 3.787
_cell_length_b 3.787
_cell_length_c 7.775
_cell_angle_alpha 90.00
_cell_angle_beta 90.00
_cell_angle_gamma 90.00
_symmetry_space_group_name_H-M 'P 4 m m'
_symmetry_Int_Tables_number 99
loop_
_symmetry_equiv_pos_as_xyz
'x,y,z'
'-y,x,z'
'-x,-y,z'
'y,-x,z'
'-x,y,z'
'y,x,z'
'x,-y,z'
'-y,-x,z'
loop_
_atom_site_label
_atom_site_type_symbol
_atom_site_fract_x
_atom_site_fract_y
_atom_site_fract_z
Ac1 Ac 0.000 0.000 0.000
Er1 Er 0.000 0.000 0.489
Ag1 Ag 0.500 0.500 0.286
Hg1 Hg 0.500 0.500 0.710
```

Top 12 peaks for 10 to 90 degrees two-theta, in order of rising 2θ:
- 26.2°, I 10
- 33.0°, I 100
- 33.5°, I 53
- 46.7°, I 7
- 48.0°, I 20
- 48.9°, I 6
- 58.7°, I 14
- 59.5°, I 38
- 69.3°, I 9
- 70.3°, I 6
- 79.9°, I 9
- 80.1°, I 9

(4)
Calculated powder diffractogram of Ac2ErAgO6 for Cu Kα (weighted mean of Kα1 and Kα2), from DFT lattice parameters and positions (PBE).
Lines closer than 0.1° are merged.

Structural model:
```
data_Ac2ErAgO6
_cell_length_a 5.954
_cell_length_b 5.954
_cell_length_c 4.541
_cell_angle_alpha 90.00
_cell_angle_beta 90.00
_cell_angle_gamma 90.00
_symmetry_space_group_name_H-M 'P 4 m m'
_symmetry_Int_Tables_number 99
loop_
_symmetry_equiv_pos_as_xyz
'x,y,z'
'-y,x,z'
'-x,-y,z'
'y,-x,z'
'-x,y,z'
'y,x,z'
'x,-y,z'
'-y,-x,z'
loop_
_atom_site_label
_atom_site_type_symbol
_atom_site_fract_x
_atom_site_fract_y
_atom_site_fract_z
Ac1 Ac 0.000 0.500 0.000
Er1 Er 0.000 0.000 0.568
Ag1 Ag 0.500 0.500 0.617
O1 O 0.000 0.000 0.100
O2 O 0.250 0.250 0.674
O3 O 0.500 0.500 0.127
```

Top 12 peaks for 10 to 90 degrees two-theta, in order of rising 2θ:
- 19.5°, I 11
- 28.9°, I 100
- 30.0°, I 49
- 36.1°, I 9
- 39.7°, I 9
- 43.0°, I 26
- 45.4°, I 12
- 50.6°, I 20
- 52.6°, I 39
- 59.9°, I 11
- 84.3°, I 9
- 86.0°, I 10

(5)
Calculated powder diffractogram of AcErAg2S4 for Cu Kα (weighted mean of Kα1 and Kα2), from DFT lattice parameters and positions (PBE).
Lines closer than 0.1° are merged.

Structural model:
```
data_AcErAg2S4
_cell_length_a 6.812
_cell_length_b 7.042
_cell_length_c 8.112
_cell_angle_alpha 90.00
_cell_angle_beta 90.00
_cell_angle_gamma 90.00
_symmetry_space_group_name_H-M 'I 2 2 2'
_symmetry_Int_Tables_number 23
loop_
_symmetry_equiv_pos_as_xyz
'x,y,z'
'-x,-y,z'
'x,-y,-z'
'-x,y,-z'
'x+1/2,y+1/2,z+1/2'
'-x+1/2,-y+1/2,z+1/2'
'x+1/2,-y+1/2,-z+1/2'
'-x+1/2,y+1/2,-z+1/2'
loop_
_atom_site_label
_atom_site_type_symbol
_atom_site_fract_x
_atom_site_fract_y
_atom_site_fract_z
Ac1 Ac 0.000 0.000 0.000
Er1 Er 0.000 0.000 0.500
Ag1 Ag 0.000 0.500 0.177
S1 S 0.217 0.222 0.321
```

Top 12 peaks for 10 to 90 degrees two-theta, in order of rising 2θ:
- 17.0°, I 12
- 18.1°, I 14
- 25.3°, I 28
- 26.2°, I 26
- 28.6°, I 100
- 33.7°, I 12
- 34.4°, I 12
- 36.7°, I 48
- 46.7°, I 27
- 47.7°, I 25
- 48.6°, I 18
- 52.0°, I 13

(6)
Calculated powder diffractogram of Ac2AgF for Cu Kα (weighted mean of Kα1 and Kα2), from DFT lattice parameters and positions (PBE).
Lines closer than 0.1° are merged.

Structural model:
```
data_Ac2AgF
_cell_length_a 4.8372
_cell_length_b 4.8372
_cell_length_c 24.0620
_cell_angle_alpha 90.00
_cell_angle_beta 90.00
_cell_angle_gamma 120.00
_symmetry_space_group_name_H-M 'R -3 m'
_symmetry_Int_Tables_number 166
_symmetry_space_group_name_Hall '-R 3 2"'
loop_
_atom_site_label
_atom_site_type_symbol
_atom_site_fract_x
_atom_site_fract_y
_atom_site_fract_z
Ac1 Ac 0.0000 0.0000 0.1000
Ag1 Ag 0.0000 0.0000 0.5000
F1 F 0.0000 0.0000 0.0000
```

Top 12 peaks for 10 to 90 degrees two-theta, in order of rising 2θ:
- 11.0°, I 52
- 21.5°, I 47
- 22.5°, I 45
- 25.9°, I 21
- 28.2°, I 100
- 37.2°, I 56
- 43.4°, I 45
- 47.3°, I 25
- 58.4°, I 22
- 61.7°, I 23
- 70.4°, I 16
- 71.3°, I 17